[1]
Structure and theoretical PXRD pattern of PmYPb3 (a cell relaxed with PBE; copper Kα).
No peak broadening, texture or thermal motion is included.

Peak list (8 most intense, 2θ = 5–70°, by intensity)
| 2θ/deg | I_rel | index |
| --- | --- | --- |
| 29.42 | 100 | 2 0 2 |
| 33.43 | 33 | 1 2 -2 |
| 36.54 | 29 | 1 0 -4 |
| 36.00 | 26 | 2 2 -2 |
| 40.72 | 22 | 2 2 2 |
| 65.26 | 21 | 2 4 2 |
| 27.52 | 17 | 0 2 0 |
| 47.10 | 15 | 5 0 0 |

Structure:
Cell lengths 9.954, 6.483, 9.836 Å; angles 90.00, 104.26, 90.00 degrees
Space group P2_1/c (No. 14)
Symmetry-distinct sites (fractional):
Pm  0.177  0.250  0.045
Y  0.400  0.749  0.350
Pb  0.001  0.501  0.750
Pb  0.190  0.750  0.048
Pb  0.395  0.249  0.349

---

[2]
Structure and theoretical PXRD pattern of Pm4YPb3 (a cell relaxed with PBE; copper Kα).
No peak broadening, texture or thermal motion is included.

Peak list (8 most intense, 2θ = 5–70°, by intensity)
| 2θ/deg | I_rel | index |
| --- | --- | --- |
| 31.26 | 100 | 3 1 1 |
| 31.65 | 97 | 5 1 -1 |
| 32.91 | 42 | 8 0 0 |
| 35.96 | 35 | 2 0 -2 |
| 40.26 | 26 | 0 2 0 |
| 52.94 | 22 | 8 2 0 |
| 55.07 | 21 | 2 2 -2 |
| 57.49 | 16 | 11 1 1 |

Structure:
Cell lengths 22.244, 4.480, 4.996 Å; angles 90.00, 101.80, 90.00 degrees
Space group C2/m (No. 12)
Symmetry-distinct sites (fractional):
Pm  0.119  0.000  0.130
Pm  0.244  0.000  0.746
Y  0.000  0.000  0.500
Pb  0.000  0.500  0.000
Pb  0.129  0.500  0.642

---

[3]
Structure and theoretical PXRD pattern of PmY3Pb2 (a cell relaxed with PBE; copper Kα).
No peak broadening, texture or thermal motion is included.

Peak list (8 most intense, 2θ = 5–70°, by intensity)
| 2θ/deg | I_rel | index |
| --- | --- | --- |
| 34.55 | 100 | 1 1 2 |
| 29.39 | 64 | 1 1 1 |
| 39.25 | 54 | 2 0 0 |
| 21.92 | 42 | 1 0 1 |
| 68.15 | 36 | 3 1 2 |
| 50.85 | 34 | 2 0 3 |
| 31.02 | 34 | 0 0 3 |
| 27.48 | 25 | 1 1 0 |

Structure:
Cell lengths 4.590, 4.590, 8.648 Å; angles 90.00, 90.00, 90.00 degrees
Space group P-4m2 (No. 115)
Symmetry-distinct sites (fractional):
Pm  0.000  0.000  0.000
Y  0.000  0.500  0.345
Y  0.500  0.500  0.000
Pb  0.000  0.500  0.713

---

[4]
Structure and theoretical PXRD pattern of PmZnPb (a cell relaxed with PBE; copper Kα).
No peak broadening, texture or thermal motion is included.

Peak list (8 most intense, 2θ = 5–70°, by intensity)
| 2θ/deg | I_rel | index |
| --- | --- | --- |
| 31.62 | 100 | 1 2 1 |
| 37.83 | 39 | 1 0 3 |
| 37.69 | 20 | 2 0 0 |
| 50.02 | 19 | 2 2 2 |
| 61.58 | 18 | 2 4 0 |
| 21.55 | 18 | 0 0 2 |
| 64.46 | 17 | 2 2 4 |
| 52.00 | 11 | 0 4 2 |

Structure:
Cell lengths 4.773, 7.777, 8.229 Å; angles 90.00, 90.00, 90.00 degrees
Space group Imm2 (No. 44)
Symmetry-distinct sites (fractional):
Pm  0.000  0.000  0.000
Pm  0.000  0.500  0.027
Zn  0.000  0.322  0.682
Pb  0.000  0.247  0.349

---

[5]
Structure and theoretical PXRD pattern of Pm2ZnPb2 (a cell relaxed with PBE; copper Kα).
No peak broadening, texture or thermal motion is included.

Peak list (8 most intense, 2θ = 5–70°, by intensity)
| 2θ/deg | I_rel | index |
| --- | --- | --- |
| 31.86 | 100 | 0 2 2 |
| 24.88 | 54 | 2 1 1 |
| 38.75 | 41 | 2 3 0 |
| 61.90 | 31 | 2 3 4 |
| 38.88 | 19 | 4 0 0 |
| 51.09 | 18 | 4 2 2 |
| 65.84 | 17 | 2 5 2 |
| 41.15 | 15 | 2 1 3 |

Structure:
Cell lengths 9.265, 8.058, 7.853 Å; angles 90.00, 90.00, 90.00 degrees
Space group Pbcm (No. 57)
Symmetry-distinct sites (fractional):
Pm  0.116  0.250  0.000
Pm  0.370  0.750  0.000
Zn  0.376  0.081  0.250
Pb  0.120  0.585  0.750
Pb  0.356  0.075  0.750

---

[6]
Structure and theoretical PXRD pattern of Pm2Zn5Pb (a cell relaxed with PBE; copper Kα).
No peak broadening, texture or thermal motion is included.

Peak list (8 most intense, 2θ = 5–70°, by intensity)
| 2θ/deg | I_rel | index |
| --- | --- | --- |
| 32.36 | 100 | 1 3 2 |
| 28.48 | 52 | 1 1 2 |
| 40.44 | 45 | 2 0 0 |
| 33.61 | 45 | 1 5 0 |
| 36.12 | 25 | 1 1 3 |
| 37.97 | 24 | 0 6 2 |
| 44.18 | 23 | 0 6 3 |
| 33.79 | 22 | 0 6 1 |

Structure:
Cell lengths 4.461, 16.633, 9.134 Å; angles 90.00, 90.00, 90.00 degrees
Space group Cmcm (No. 63)
Symmetry-distinct sites (fractional):
Pm  0.000  0.000  0.000
Pm  0.000  0.204  0.250
Zn  0.000  0.186  0.609
Zn  0.000  0.341  0.515
Zn  0.000  0.390  0.250
Pb  0.000  0.447  0.750